1.
For Mn12O7F17, a GGA+U-relaxed structure gives the computed powder XRD pattern in this record (CuKα).
Neutral-atom scattering factors, no anomalous dispersion.

Cell: 4.795 5.777 15.867 Å, 89.90 89.54 86.92°
Sites, in units of the cell vectors:
Mn (0.000, 0.000, 0.000)
Mn (0.004, 0.995, 0.328)
Mn (0.010, 0.985, 0.658)
Mn (0.059, 0.317, 0.170)
Mn (0.461, 0.461, 0.008)
Mn (0.476, 0.802, 0.173)
Mn (0.484, 0.802, 0.502)
Mn (0.493, 0.812, 0.841)
Mn (0.503, 0.501, 0.338)
Mn (0.509, 0.488, 0.680)
Mn (0.983, 0.305, 0.835)
Mn (0.988, 0.307, 0.499)
O (0.190, 0.243, 0.059)
O (0.204, 0.046, 0.889)
O (0.215, 0.035, 0.548)
O (0.226, 0.039, 0.222)
O (0.293, 0.550, 0.232)
O (0.699, 0.532, 0.447)
O (0.716, 0.537, 0.788)
F (0.206, 0.267, 0.725)
F (0.218, 0.274, 0.388)
F (0.240, 0.545, 0.894)
F (0.243, 0.743, 0.061)
F (0.249, 0.538, 0.568)
F (0.253, 0.764, 0.396)
F (0.264, 0.770, 0.731)
F (0.708, 0.765, 0.611)
F (0.718, 0.773, 0.952)
F (0.729, 0.765, 0.284)
F (0.731, 0.010, 0.109)
F (0.733, 0.533, 0.119)
F (0.740, 0.265, 0.939)
F (0.751, 0.036, 0.437)
F (0.752, 0.038, 0.770)
F (0.758, 0.266, 0.608)
F (0.779, 0.281, 0.274)

Largest 10 diffraction maxima, low angle first, 2θ = 15–90°:
- 23.5°, rel. 88.4
- 24.8°, rel. 81.8
- 28.9°, rel. 100.0
- 29.1°, rel. 89.7
- 30.0°, rel. 85.4
- 30.2°, rel. 85.2
- 35.4°, rel. 58.2
- 51.3°, rel. 43.8
- 51.7°, rel. 41.2
- 61.7°, rel. 56.9

---

2.
For Mn3VSn2P6O24, a GGA+U-relaxed structure gives the computed powder XRD pattern in this record (CuKα).
Neutral-atom scattering factors, no anomalous dispersion.

Cell: 8.875 8.875 8.875 Å, 58.95 58.95 58.95°
Sites, in units of the cell vectors:
Mn (0.000, 0.000, 0.000)
Mn (0.199, 0.199, 0.199)
Mn (0.502, 0.502, 0.502)
V (0.706, 0.706, 0.706)
Sn (0.352, 0.352, 0.352)
Sn (0.856, 0.856, 0.856)
P (0.098, 0.799, 0.393)
P (0.314, 0.603, 0.900)
P (0.393, 0.098, 0.799)
P (0.603, 0.900, 0.314)
P (0.799, 0.393, 0.098)
P (0.900, 0.314, 0.603)
O (0.043, 0.842, 0.233)
O (0.098, 0.309, 0.444)
O (0.122, 0.767, 0.924)
O (0.154, 0.943, 0.375)
O (0.233, 0.043, 0.842)
O (0.258, 0.599, 0.411)
O (0.309, 0.444, 0.098)
O (0.338, 0.537, 0.761)
O (0.375, 0.154, 0.943)
O (0.411, 0.258, 0.599)
O (0.444, 0.098, 0.309)
O (0.473, 0.669, 0.842)
O (0.537, 0.761, 0.338)
O (0.584, 0.932, 0.769)
O (0.599, 0.411, 0.258)
O (0.669, 0.842, 0.473)
O (0.761, 0.338, 0.537)
O (0.767, 0.924, 0.122)
O (0.769, 0.584, 0.932)
O (0.842, 0.233, 0.043)
O (0.842, 0.473, 0.669)
O (0.924, 0.122, 0.767)
O (0.932, 0.769, 0.584)
O (0.943, 0.375, 0.154)

Largest 10 diffraction maxima, low angle first, 2θ = 15–90°:
- 20.3°, rel. 100.0
- 23.7°, rel. 69.3
- 24.9°, rel. 29.5
- 31.9°, rel. 99.3
- 32.4°, rel. 18.7
- 35.6°, rel. 43.6
- 45.9°, rel. 28.9
- 48.6°, rel. 37.0
- 55.7°, rel. 26.0
- 61.7°, rel. 29.4

---

3.
For RbMgMn4O8, a GGA+U-relaxed structure gives the computed powder XRD pattern in this record (CuKα).
Neutral-atom scattering factors, no anomalous dispersion.

Cell: 3.184 7.349 7.567 Å, 91.24 96.55 98.46°
Sites, in units of the cell vectors:
Rb (0.000, 0.000, 0.000)
Mg (0.607, 0.266, 0.708)
Mn (0.211, 0.586, 0.788)
Mn (0.234, 0.222, 0.391)
Mn (0.608, 0.864, 0.472)
Mn (0.854, 0.562, 0.149)
O (0.106, 0.373, 0.599)
O (0.294, 0.037, 0.590)
O (0.319, 0.415, 0.229)
O (0.374, 0.694, 0.035)
O (0.636, 0.080, 0.299)
O (0.684, 0.724, 0.693)
O (0.773, 0.428, 0.912)
O (0.992, 0.739, 0.347)

Largest 10 diffraction maxima, low angle first, 2θ = 15–90°:
- 26.3°, rel. 45.9
- 26.8°, rel. 65.7
- 27.2°, rel. 89.1
- 27.7°, rel. 57.2
- 33.6°, rel. 100.0
- 34.9°, rel. 39.2
- 36.1°, rel. 42.6
- 37.8°, rel. 43.1
- 38.5°, rel. 41.3
- 58.4°, rel. 31.7

---

4.
For MgMnF5, a GGA+U-relaxed structure gives the computed powder XRD pattern in this record (CuKα).
Neutral-atom scattering factors, no anomalous dispersion.

Cell: 5.286 5.300 7.632 Å, 106.74 99.00 110.20°
Sites, in units of the cell vectors:
Mg (0.000, 0.000, 0.000)
Mg (0.044, 0.536, 0.492)
Mn (0.521, 0.768, 0.246)
Mn (0.522, 0.269, 0.747)
F (0.211, 0.046, 0.810)
F (0.234, 0.398, 0.191)
F (0.260, 0.865, 0.118)
F (0.296, 0.400, 0.617)
F (0.373, 0.871, 0.497)
F (0.671, 0.668, 0.996)
F (0.748, 0.139, 0.878)
F (0.787, 0.672, 0.371)
F (0.808, 0.139, 0.304)
F (0.834, 0.495, 0.684)

Largest 10 diffraction maxima, low angle first, 2θ = 15–90°:
- 18.7°, rel. 32.7
- 23.2°, rel. 100.0
- 26.7°, rel. 70.1
- 27.0°, rel. 65.4
- 29.5°, rel. 34.1
- 45.7°, rel. 26.4
- 47.5°, rel. 38.1
- 50.5°, rel. 23.9
- 50.9°, rel. 23.3
- 55.1°, rel. 26.4

---

5.
For LiBi3PbWClO8, a GGA+U-relaxed structure gives the computed powder XRD pattern in this record (CuKα).
Neutral-atom scattering factors, no anomalous dispersion.

Cell: 3.932 3.932 15.373 Å, 90.00 90.00 90.00°
Sites, in units of the cell vectors:
Li (0.000, 0.000, 0.000)
Bi (0.000, 0.000, 0.159)
Bi (0.000, 0.000, 0.404)
Bi (0.500, 0.500, 0.959)
Pb (0.500, 0.500, 0.570)
W (0.000, 0.000, 0.758)
Cl (0.500, 0.500, 0.239)
O (0.000, 0.000, 0.637)
O (0.000, 0.000, 0.888)
O (0.000, 0.500, 0.045)
O (0.000, 0.500, 0.470)
O (0.000, 0.500, 0.763)
O (0.500, 0.000, 0.045)
O (0.500, 0.000, 0.470)
O (0.500, 0.000, 0.763)

Largest 10 diffraction maxima, low angle first, 2θ = 15–90°:
- 25.4°, rel. 44.8
- 28.6°, rel. 100.0
- 29.0°, rel. 23.4
- 32.2°, rel. 54.5
- 43.9°, rel. 35.5
- 46.2°, rel. 29.0
- 53.0°, rel. 22.9
- 55.2°, rel. 33.3
- 55.5°, rel. 16.5
- 72.9°, rel. 18.1

---

6.
For LiScW2O8, a GGA+U-relaxed structure gives the computed powder XRD pattern in this record (CuKα).
Neutral-atom scattering factors, no anomalous dispersion.

Cell: 7.553 7.553 5.075 Å, 90.83 90.83 100.43°
Sites, in units of the cell vectors:
Li (0.167, 0.833, 0.750)
Li (0.833, 0.167, 0.250)
Sc (0.332, 0.668, 0.250)
Sc (0.668, 0.332, 0.750)
W (0.161, 0.333, 0.753)
W (0.333, 0.161, 0.253)
W (0.667, 0.839, 0.747)
W (0.839, 0.667, 0.247)
O (0.067, 0.687, 0.387)
O (0.096, 0.198, 0.065)
O (0.196, 0.561, 0.903)
O (0.198, 0.096, 0.565)
O (0.303, 0.416, 0.435)
O (0.313, 0.933, 0.113)
O (0.416, 0.303, 0.935)
O (0.439, 0.804, 0.597)
O (0.561, 0.196, 0.403)
O (0.584, 0.697, 0.065)
O (0.687, 0.067, 0.887)
O (0.697, 0.584, 0.565)
O (0.802, 0.904, 0.435)
O (0.804, 0.439, 0.097)
O (0.904, 0.802, 0.935)
O (0.933, 0.313, 0.613)

Largest 10 diffraction maxima, low angle first, 2θ = 15–90°:
- 15.3°, rel. 31.6
- 18.4°, rel. 100.0
- 23.3°, rel. 91.4
- 24.0°, rel. 45.5
- 29.6°, rel. 77.6
- 30.1°, rel. 74.1
- 35.6°, rel. 28.5
- 40.6°, rel. 33.1
- 50.8°, rel. 23.8
- 63.7°, rel. 25.4

---

7.
For Li2FeF4, a GGA+U-relaxed structure gives the computed powder XRD pattern in this record (CuKα).
Neutral-atom scattering factors, no anomalous dispersion.

Cell: 5.047 9.863 3.146 Å, 90.00 90.00 90.00°
Sites, in units of the cell vectors:
Li (0.028, 0.205, 0.000)
Li (0.472, 0.705, 0.000)
Li (0.528, 0.295, 0.000)
Li (0.972, 0.795, 0.000)
Fe (0.000, 0.500, 0.500)
Fe (0.500, 0.000, 0.500)
F (0.201, 0.394, 0.000)
F (0.243, 0.158, 0.500)
F (0.257, 0.658, 0.500)
F (0.299, 0.894, 0.000)
F (0.701, 0.106, 0.000)
F (0.743, 0.342, 0.500)
F (0.757, 0.842, 0.500)
F (0.799, 0.606, 0.000)

Largest 10 diffraction maxima, low angle first, 2θ = 15–90°:
- 18.0°, rel. 27.1
- 19.8°, rel. 100.0
- 32.5°, rel. 26.5
- 34.8°, rel. 28.6
- 38.3°, rel. 41.1
- 40.1°, rel. 12.5
- 43.7°, rel. 18.6
- 49.9°, rel. 29.2
- 51.8°, rel. 20.8
- 58.1°, rel. 14.0

---

8.
For TlCr2FeO8, a GGA+U-relaxed structure gives the computed powder XRD pattern in this record (CuKα).
Neutral-atom scattering factors, no anomalous dispersion.

Cell: 5.267 5.267 8.288 Å, 93.81 93.81 63.73°
Sites, in units of the cell vectors:
Tl (0.000, 0.000, 0.000)
Cr (0.369, 0.369, 0.694)
Cr (0.631, 0.631, 0.306)
Fe (0.000, 0.000, 0.500)
O (0.222, 0.222, 0.558)
O (0.224, 0.723, 0.671)
O (0.277, 0.776, 0.329)
O (0.315, 0.315, 0.877)
O (0.685, 0.685, 0.123)
O (0.723, 0.224, 0.671)
O (0.776, 0.277, 0.329)
O (0.778, 0.778, 0.442)

Largest 10 diffraction maxima, low angle first, 2θ = 15–90°:
- 18.8°, rel. 60.4
- 19.9°, rel. 59.4
- 21.9°, rel. 47.8
- 22.1°, rel. 93.3
- 28.1°, rel. 100.0
- 29.3°, rel. 52.2
- 32.2°, rel. 36.1
- 34.2°, rel. 58.3
- 39.3°, rel. 24.3
- 58.7°, rel. 22.0